For Li2B3C3, a structure optimized by DFT (PBE) gives the calculated X-ray powder pattern in this record (Cu Kα).

Most intense lines, 10° ≤ 2θ ≤ 90°, low angle first:
hkl, 2θ/deg, d (Å), Rel. int.
0 0 2, 24.56, 3.624, 100.0
1 0 1, 25.08, 3.551, 4.1
1 1 0, 38.27, 2.352, 8.9
1 1 2, 46.01, 1.973, 45.7
0 0 4, 50.36, 1.812, 15.9
3 0 0, 69.19, 1.358, 15.4
3 0 2, 74.65, 1.271, 9.3
2 2 2, 87.15, 1.118, 5.8

Atomic structure:
Cell lengths 4.7034, 4.7034, 7.2485 Å; angles 90.00, 90.00, 120.00 degrees
Space group P6_322 (No. 182)
One atom of each set of equivalent atoms:
Li  0.0000  0.0000  0.2500 (multiplicity 2)
Li  0.3333  0.6667  0.2500 (multiplicity 2)
B  0.0000  0.3348  0.5000 (multiplicity 6)
C  0.0000  0.3318  0.0000 (multiplicity 6)